# CsPmOsO6
Simulated X-ray powder pattern, Cu Kα, 1.54184 Å. Input: DFT lattice parameters and positions (GGA-PBE).
Neutral-atom scattering factors, no anomalous dispersion.

Cell and atoms:
```
data_CsPmOsO6
_cell_length_a 5.7921
_cell_length_b 5.7921
_cell_length_c 6.4685
_cell_angle_alpha 90.00
_cell_angle_beta 90.00
_cell_angle_gamma 120.00
_symmetry_space_group_name_H-M 'P 3 1 2'
_symmetry_Int_Tables_number 149
loop_
_symmetry_equiv_pos_as_xyz
'x,y,z'
'-y,x-y,z'
'-x+y,-x,z'
'-y,-x,-z'
'-x+y,y,-z'
'x,x-y,-z'
loop_
_atom_site_label
_atom_site_type_symbol
_atom_site_fract_x
_atom_site_fract_y
_atom_site_fract_z
_atom_site_occupancy
Cs1 Cs 0.0000 0.0000 0.0000 1
Pm1 Pm 0.3333 0.6667 0.5000 1
Os1 Os 0.6667 0.3333 0.5000 1
O1 O 0.4176 0.0568 0.6691 1
```

Largest 6 diffraction maxima, in order of rising 2θ, 5° ≤ 2θ ≤ 70°:
2θ 13.69, I = 35, hkl 0 0 1
2θ 22.43, I = 100, hkl 1 0 1
2θ 30.88, I = 42, hkl 1 1 0
2θ 38.50, I = 20, hkl 2 0 1
2θ 41.87, I = 48, hkl 2 -1 2
2θ 50.14, I = 21, hkl 3 -1 1


# CsRbOsO6
Simulated X-ray powder pattern, Cu Kα, 1.54184 Å. Input: DFT lattice parameters and positions (GGA-PBE).
Neutral-atom scattering factors, no anomalous dispersion.

Cell and atoms:
```
data_CsRbOsO6
_cell_length_a 5.5236
_cell_length_b 6.0744
_cell_length_c 6.2815
_cell_angle_alpha 68.51
_cell_angle_beta 83.40
_cell_angle_gamma 80.99
_symmetry_space_group_name_H-M 'P 1'
_symmetry_Int_Tables_number 1
loop_
_symmetry_equiv_pos_as_xyz
'x,y,z'
loop_
_atom_site_label
_atom_site_type_symbol
_atom_site_fract_x
_atom_site_fract_y
_atom_site_fract_z
_atom_site_occupancy
Cs1 Cs 0.0000 0.0000 0.0000 1
Rb1 Rb 0.4237 0.3923 0.3144 1
Os1 Os 0.6462 0.6848 0.6829 1
O1 O 0.3630 0.5942 0.8316 1
O2 O 0.3921 0.8207 0.4388 1
O3 O 0.4977 0.9419 0.2237 1
O4 O 0.7210 0.9773 0.6119 1
O5 O 0.8073 0.5439 0.9416 1
O6 O 0.8191 0.5292 0.5150 1
```

Largest 6 diffraction maxima, in order of rising 2θ, 5° ≤ 2θ ≤ 70°:
2θ 21.98, I = 94, hkl 1 1 1
2θ 23.03, I = 100, hkl 1 0 -1
2θ 24.15, I = 73, hkl 1 -1 0
2θ 25.65, I = 67, hkl 0 1 -1
2θ 30.05, I = 65, hkl 0 2 1
2θ 33.95, I = 47, hkl 1 0 2